For ErNi6Ge4, a cell relaxed with GGA-PBE gives the computed X-ray diffraction stick pattern in this record (CuKα).
No peak broadening, texture or thermal motion is included.

Structural model:
```
ErNi6Ge4
1.0
6.8219 0.0000 0.0000
-3.4109 5.9079 0.0000
0.0000 0.0000 3.7554
Er Ni Ge
1 6 4
direct
0.0000 0.0000 0.0000
0.2047 0.4095 0.5000
0.2047 0.7953 0.5000
0.5369 0.0737 0.0000
0.5369 0.4631 0.0000
0.5905 0.7953 0.5000
0.9263 0.4631 0.0000
0.3333 0.6667 0.0000
0.3821 0.1911 0.5000
0.8089 0.1911 0.5000
0.8089 0.6179 0.5000
```

The 10 most intense peaks (2θ from 10° to 80°), by intensity:
2θ (°)  I (rel.)
38.79  100
35.56  51
40.39  43
53.75  29
48.48  29
47.36  26
52.47  23
75.27  20
64.88  20
61.77  14

=====

For TbYAl4Cu2, a cell relaxed with GGA-PBE gives the computed X-ray diffraction stick pattern in this record (CuKα).
No peak broadening, texture or thermal motion is included.

Structural model:
```
TbYAl4Cu2
1.0
6.8345 0.0000 0.0000
0.0000 2.0932 5.1089
0.0000 -2.0932 5.1089
Tb Y Al Cu
1 1 4 2
direct
0.0000 0.0000 0.0000
0.5000 0.1350 0.1350
0.1961 0.7116 0.7116
0.3041 0.4232 0.4232
0.6959 0.4232 0.4232
0.8039 0.7116 0.7116
0.0000 0.2825 0.2825
0.5000 0.8526 0.8526
```

The 10 most intense peaks (2θ from 10° to 80°), by intensity:
2θ (°)  I (rel.)
36.46  100
35.01  82
37.59  48
22.96  45
26.08  42
43.23  34
58.59  25
53.08  24
21.72  15
68.02  14

=====

For LiNbSO, a cell relaxed with GGA-PBE gives the computed X-ray diffraction stick pattern in this record (CuKα).
No peak broadening, texture or thermal motion is included.

Structural model:
```
LiNbSO
1.0
3.1132 0.0000 0.0000
-1.5566 2.6961 0.0000
0.0000 0.0000 12.1475
Li Nb S O
2 2 2 2
direct
0.0000 0.0000 0.2233
0.0000 0.0000 0.7767
0.0000 0.0000 0.0000
0.0000 0.0000 0.5000
0.3333 0.6667 0.3622
0.3333 0.6667 0.6378
0.6667 0.3333 0.1073
0.6667 0.3333 0.8927
```

The 10 most intense peaks (2θ from 10° to 80°), by intensity:
2θ (°)  I (rel.)
14.58  100
36.46  65
44.96  63
33.23  30
59.37  19
56.87  18
61.50  13
77.47  12
34.06  9
71.72  9

=====

For Cu7Ag2, a cell relaxed with GGA-PBE gives the computed X-ray diffraction stick pattern in this record (CuKα).
No peak broadening, texture or thermal motion is included.

Structural model:
```
Cu7Ag2
1.0
-1.3417 1.8256 12.1483
1.3417 -1.8256 12.1483
1.3417 1.8256 -12.1483
Cu Ag
7 2
direct
0.0000 0.0000 0.0000
0.2241 0.2241 0.0000
0.3273 0.3273 0.0000
0.4489 0.4489 0.0000
0.5511 0.5511 0.0000
0.6727 0.6727 0.0000
0.7759 0.7759 0.0000
0.1119 0.1119 0.0000
0.8881 0.8881 0.0000
```

The 10 most intense peaks (2θ from 10° to 80°), by intensity:
2θ (°)  I (rel.)
41.78  100
41.60  97
47.79  64
71.63  35
49.96  29
70.14  10
69.66  8
30.63  7
38.32  4
24.66  4

=====

For Ag15Bi, a cell relaxed with GGA-PBE gives the computed X-ray diffraction stick pattern in this record (CuKα).
No peak broadening, texture or thermal motion is included.

Structural model:
```
Ag15Bi
1.0
5.8145 0.0000 0.0000
0.0000 2.9589 0.0000
-0.0423 0.0000 44.3177
Ag Bi
30 2
direct
0.1200 0.2500 0.2003
0.1250 0.2500 0.3854
0.1248 0.2500 0.4771
0.1251 0.2500 0.5688
0.1250 0.2500 0.6606
0.1252 0.2500 0.7526
0.1259 0.2500 0.2933
0.3711 0.7500 0.7998
0.3736 0.7500 0.1547
0.3746 0.7500 0.2465
0.3749 0.7500 0.3395
0.3751 0.7500 0.4313
0.3748 0.7500 0.5229
0.3750 0.7500 0.6146
0.3761 0.7500 0.7067
0.6239 0.2500 0.2933
0.6250 0.2500 0.3854
0.6252 0.2500 0.4771
0.6249 0.2500 0.5687
0.6251 0.2500 0.6605
0.6254 0.2500 0.7535
0.6264 0.2500 0.8453
0.6289 0.2500 0.2002
0.8741 0.7500 0.7067
0.8748 0.7500 0.2474
0.8750 0.7500 0.3394
0.8749 0.7500 0.4312
0.8752 0.7500 0.5229
0.8750 0.7500 0.6146
0.8800 0.7500 0.7997
0.1267 0.2500 0.8562
0.8733 0.7500 0.1438
```

The 10 most intense peaks (2θ from 10° to 80°), by intensity:
2θ (°)  I (rel.)
37.72  100
38.17  95
43.65  86
62.82  35
36.51  32
75.91  31
36.98  29
76.79  23
45.00  21
42.85  17

=====

For Gd4BClO7, a cell relaxed with GGA-PBE gives the computed X-ray diffraction stick pattern in this record (CuKα).
No peak broadening, texture or thermal motion is included.

Structural model:
```
Gd4BClO7
1.0
8.6745 0.0000 0.0000
0.0000 8.1018 0.0000
-6.4587 0.0000 10.6067
Gd B Cl O
16 4 4 28
direct
0.0748 0.1375 0.4215
0.0748 0.3625 0.9215
0.0818 0.6176 0.4127
0.0818 0.8824 0.9127
0.3003 0.1268 0.7811
0.3003 0.3733 0.2811
0.3190 0.6140 0.7819
0.3190 0.8860 0.2819
0.6810 0.1140 0.7181
0.6810 0.3860 0.2181
0.6997 0.6268 0.7189
0.6997 0.8732 0.2189
0.9182 0.1176 0.0873
0.9182 0.3824 0.5873
0.9252 0.6375 0.0785
0.9252 0.8625 0.5785
0.3683 0.1294 0.0867
0.3683 0.3706 0.5867
0.6317 0.6294 0.4133
0.6317 0.8706 0.9133
0.3837 0.6423 0.0350
0.3837 0.8577 0.5350
0.6163 0.1423 0.4650
0.6163 0.3577 0.9650
0.0384 0.1225 0.5964
0.0384 0.3775 0.0964
0.0677 0.6224 0.5921
0.0677 0.8776 0.0921
0.1770 0.1173 0.2816
0.1770 0.3827 0.7816
0.1945 0.6369 0.2764
0.1945 0.8631 0.7764
0.2802 0.1144 0.9574
0.2802 0.3856 0.4574
0.3846 0.2151 0.6364
0.3846 0.2849 0.1364
0.4266 0.5087 0.6612
0.4266 0.9913 0.1612
0.5734 0.0087 0.8388
0.5734 0.4913 0.3388
0.6154 0.7151 0.8636
0.6154 0.7849 0.3636
0.7198 0.6144 0.5426
0.7198 0.8856 0.0426
0.8055 0.1369 0.2236
0.8055 0.3631 0.7236
0.8230 0.6173 0.2184
0.8230 0.8827 0.7184
0.9323 0.1224 0.9079
0.9323 0.3776 0.4079
0.9616 0.6225 0.9036
0.9616 0.8775 0.4036
```

The 10 most intense peaks (2θ from 10° to 80°), by intensity:
2θ (°)  I (rel.)
30.48  100
29.52  64
33.65  57
25.23  42
24.35  39
50.83  29
47.55  28
30.95  26
11.95  24
44.74  24

=====

Repeat the fifth record exactly.
For Ag15Bi, a cell relaxed with GGA-PBE gives the computed X-ray diffraction stick pattern in this record (CuKα).
No peak broadening, texture or thermal motion is included.

Structural model:
```
Ag15Bi
1.0
5.8145 0.0000 0.0000
0.0000 2.9589 0.0000
-0.0423 0.0000 44.3177
Ag Bi
30 2
direct
0.1200 0.2500 0.2003
0.1250 0.2500 0.3854
0.1248 0.2500 0.4771
0.1251 0.2500 0.5688
0.1250 0.2500 0.6606
0.1252 0.2500 0.7526
0.1259 0.2500 0.2933
0.3711 0.7500 0.7998
0.3736 0.7500 0.1547
0.3746 0.7500 0.2465
0.3749 0.7500 0.3395
0.3751 0.7500 0.4313
0.3748 0.7500 0.5229
0.3750 0.7500 0.6146
0.3761 0.7500 0.7067
0.6239 0.2500 0.2933
0.6250 0.2500 0.3854
0.6252 0.2500 0.4771
0.6249 0.2500 0.5687
0.6251 0.2500 0.6605
0.6254 0.2500 0.7535
0.6264 0.2500 0.8453
0.6289 0.2500 0.2002
0.8741 0.7500 0.7067
0.8748 0.7500 0.2474
0.8750 0.7500 0.3394
0.8749 0.7500 0.4312
0.8752 0.7500 0.5229
0.8750 0.7500 0.6146
0.8800 0.7500 0.7997
0.1267 0.2500 0.8562
0.8733 0.7500 0.1438
```

The 10 most intense peaks (2θ from 10° to 80°), by intensity:
2θ (°)  I (rel.)
37.72  100
38.17  95
43.65  86
62.82  35
36.51  32
75.91  31
36.98  29
76.79  23
45.00  21
42.85  17